# 1
This entry pairs a crystal structure of PmPr2Dy2Ho with its computed powder XRD pattern. Radiation: a wavelength of 1.5418 Å. Structure: a structure optimized by DFT (GGA-PBE).
Peak positions follow from Bragg's law for the DFT cell and can differ from measured ones.

Crystal structure
Cell: 5.717 9.924 7.044 Å, 90.00 90.00 90.00°
Space group Pmc2_1 (No. 26)
Symmetry-distinct sites (fractional):
Pm 0.000 0.000 0.000 (multiplicity 2)
Pr 0.000 0.329 0.250 (multiplicity 2)
Pr 0.500 0.500 0.000 (multiplicity 2)
Dy 0.000 0.334 0.750 (multiplicity 2)
Dy 0.500 0.167 0.250 (multiplicity 2)
Ho 0.500 0.164 0.750 (multiplicity 2)

The 10 most intense peaks (2θ from 10° to 80°), most intense first:
two_theta, intensity, hkl
31.19, 100, 1 3 0
55.56, 26, 0 6 0
31.29, 22, 2 0 0
44.71, 21, 0 4 2
61.86, 18, 2 0 4
79.55, 9, 3 3 4
40.62, 9, 2 0 2
55.66, 8, 3 3 0
73.99, 6, 1 7 2
65.16, 5, 2 6 0


# 2
This entry pairs a crystal structure of Ca3Sn3Au with its computed powder XRD pattern. Radiation: a wavelength of 1.5418 Å. Structure: a structure optimized by DFT (GGA-PBE).
Peak positions follow from Bragg's law for the DFT cell and can differ from measured ones.

Crystal structure
Cell: 11.327 4.744 15.435 Å, 90.00 109.28 90.00°
Space group C2/m (No. 12)
Symmetry-distinct sites (fractional):
Ca 0.036 0.000 0.383 (multiplicity 4)
Ca 0.097 0.000 0.921 (multiplicity 4)
Ca 0.238 0.000 0.233 (multiplicity 4)
Sn 0.025 0.500 0.233 (multiplicity 4)
Sn 0.118 0.500 0.076 (multiplicity 4)
Sn 0.137 0.500 0.539 (multiplicity 4)
Au 0.247 0.500 0.384 (multiplicity 4)

The 10 most intense peaks (2θ from 10° to 80°), most intense first:
two_theta, intensity, hkl
36.78, 100, 3 1 2
37.92, 78, 0 2 0
20.51, 67, 1 1 0
15.66, 54, 2 0 -1
29.39, 49, 1 1 3
24.62, 43, 2 0 -4
29.85, 42, 1 1 -4
45.75, 42, 1 1 -7
34.46, 32, 3 1 -4
45.18, 30, 1 1 6


Please write out number 2 again, unchanged.
This entry pairs a crystal structure of Ca3Sn3Au with its computed powder XRD pattern. Radiation: a wavelength of 1.5418 Å. Structure: a structure optimized by DFT (GGA-PBE).
Peak positions follow from Bragg's law for the DFT cell and can differ from measured ones.

Crystal structure
Cell: 11.327 4.744 15.435 Å, 90.00 109.28 90.00°
Space group C2/m (No. 12)
Symmetry-distinct sites (fractional):
Ca 0.036 0.000 0.383 (multiplicity 4)
Ca 0.097 0.000 0.921 (multiplicity 4)
Ca 0.238 0.000 0.233 (multiplicity 4)
Sn 0.025 0.500 0.233 (multiplicity 4)
Sn 0.118 0.500 0.076 (multiplicity 4)
Sn 0.137 0.500 0.539 (multiplicity 4)
Au 0.247 0.500 0.384 (multiplicity 4)

The 10 most intense peaks (2θ from 10° to 80°), most intense first:
two_theta, intensity, hkl
36.78, 100, 3 1 2
37.92, 78, 0 2 0
20.51, 67, 1 1 0
15.66, 54, 2 0 -1
29.39, 49, 1 1 3
24.62, 43, 2 0 -4
29.85, 42, 1 1 -4
45.75, 42, 1 1 -7
34.46, 32, 3 1 -4
45.18, 30, 1 1 6